# Li3Fe2Si2O8
Calculated powder diffractogram, Cu Kα (weighted mean of Kα1 and Kα2). Input: the GGA+U geometry in Alexandria.
Intensities are scaled so that the largest is 100.

The 10 most intense peaks (2θ from 10° to 80°), low angle first:
2θ 13.3, intensity 100.0
2θ 21.1, intensity 41.0
2θ 22.0, intensity 37.8
2θ 23.5, intensity 15.5
2θ 27.5, intensity 18.8
2θ 27.7, intensity 58.0
2θ 31.4, intensity 15.3
2θ 31.8, intensity 20.7
2θ 33.4, intensity 39.7
2θ 35.2, intensity 44.0

Crystal structure
a b c (Å): 6.6708 5.0926 10.7305
angles (deg): 90.00 90.69 90.00
Space group Pc (No. 7)
Unique sites:
Li  0.0000  0.0590  0.0000
Li  0.0066  0.4325  0.8345
Li  0.7869  0.0659  0.2324
Fe  0.4851  0.0448  0.0133
Fe  0.4958  0.4430  0.8183
Si  0.2329  0.0665  0.2518
Si  0.7542  0.4390  0.5708
O  0.0310  0.0428  0.8157
O  0.2406  0.0046  0.1035
O  0.2566  0.3846  0.2816
O  0.4459  0.0662  0.8166
O  0.5462  0.4581  0.9942
O  0.7244  0.4613  0.2204
O  0.7432  0.1134  0.5702
O  0.9453  0.4354  0.0080